No. 1
For SmLuAgAu, a DFT-relaxed cell (GGA-PBE, Alexandria) gives the computed PXRD pattern in this record (copper Kα).
Intensities are scaled so that the largest is 100.

Peak list (6 most intense, 2θ from 10° to 90°, low angle first)
d (Å)	2theta	Rel. int.
4.179	21.26	4
2.559	35.06	100
1.810	50.43	18
1.478	62.90	37
1.280	74.09	11
1.145	84.69	16

```
SmLuAgAu
1.0
7.238 0.000 0.000
0.000 7.238 0.000
0.000 0.000 7.238
Sm Lu Ag Au
4 4 4 4
direct
0.000 0.000 0.000
0.000 0.500 0.500
0.500 0.000 0.500
0.500 0.500 0.000
0.000 0.000 0.500
0.000 0.500 0.000
0.500 0.000 0.000
0.500 0.500 0.500
0.250 0.250 0.250
0.250 0.750 0.750
0.750 0.250 0.750
0.750 0.750 0.250
0.250 0.250 0.750
0.250 0.750 0.250
0.750 0.250 0.250
0.750 0.750 0.750
```

***

No. 2
For MgAg3Au4, a DFT-relaxed cell (GGA-PBE, Alexandria) gives the computed PXRD pattern in this record (copper Kα).
Intensities are scaled so that the largest is 100.

Peak list (6 most intense, 2θ from 10° to 90°, low angle first)
d (Å)	2theta	Rel. int.
4.149	21.42	13
2.934	30.47	12
2.395	37.55	100
2.074	43.63	49
1.467	63.41	32
1.251	76.09	38

```
MgAg3Au4
1.0
4.149 0.000 0.000
0.000 4.149 0.000
0.000 0.000 16.596
Mg Ag Au
2 6 8
direct
0.000 0.000 0.000
0.500 0.500 0.500
0.000 0.000 0.252
0.000 0.000 0.500
0.000 0.000 0.748
0.500 0.500 0.000
0.500 0.500 0.248
0.500 0.500 0.752
0.000 0.500 0.122
0.000 0.500 0.378
0.000 0.500 0.622
0.000 0.500 0.878
0.500 0.000 0.122
0.500 0.000 0.378
0.500 0.000 0.622
0.500 0.000 0.878
```

***

No. 3
For MgAg5Au5, a DFT-relaxed cell (GGA-PBE, Alexandria) gives the computed PXRD pattern in this record (copper Kα).
Intensities are scaled so that the largest is 100.

Peak list (6 most intense, 2θ from 10° to 90°, low angle first)
d (Å)	2theta	Rel. int.
4.689	18.92	26
2.374	37.89	100
2.345	38.39	55
2.288	39.39	57
2.209	40.85	43
2.171	41.60	46

```
MgAg5Au5
1.0
5.653 0.000 0.000
1.182 5.617 0.000
1.408 1.323 6.513
Mg Ag Au
1 5 5
direct
0.000 0.000 0.000
0.000 0.500 0.000
0.146 0.152 0.346
0.360 0.771 0.694
0.640 0.229 0.306
0.854 0.848 0.654
0.232 0.651 0.300
0.286 0.296 0.673
0.500 0.000 0.000
0.714 0.704 0.327
0.768 0.349 0.700
```

***

No. 4
For Mg3Ag2Au, a DFT-relaxed cell (GGA-PBE, Alexandria) gives the computed PXRD pattern in this record (copper Kα).
Intensities are scaled so that the largest is 100.

Peak list (6 most intense, 2θ from 10° to 90°, low angle first)
d (Å)	2theta	Rel. int.
3.320	26.85	100
2.355	38.22	81
2.341	38.46	79
1.921	47.33	22
1.660	55.34	27
1.357	69.25	27

```
Mg3Ag2Au
1.0
4.709 0.000 0.000
-2.355 4.078 0.000
0.000 0.000 11.434
Mg Ag Au
6 4 2
direct
0.000 0.000 0.247
0.000 0.000 0.753
0.333 0.667 0.412
0.333 0.667 0.915
0.667 0.333 0.085
0.667 0.333 0.588
0.000 0.000 0.000
0.000 0.000 0.500
0.333 0.667 0.661
0.667 0.333 0.339
0.333 0.667 0.163
0.667 0.333 0.837
```

***

No. 5
For MgAgAu5, a DFT-relaxed cell (GGA-PBE, Alexandria) gives the computed PXRD pattern in this record (copper Kα).
Intensities are scaled so that the largest is 100.

Peak list (6 most intense, 2θ from 10° to 90°, low angle first)
d (Å)	2theta	Rel. int.
4.305	20.63	19
2.359	38.16	100
2.153	41.97	19
1.993	45.50	30
1.463	63.62	23
1.210	79.16	24

```
MgAgAu5
1.0
5.635 0.000 0.000
0.000 8.611 0.000
0.000 0.000 5.642
Mg Ag Au
2 2 10
direct
0.000 0.000 0.000
0.500 0.500 0.000
0.000 0.500 0.500
0.500 0.000 0.500
0.000 0.000 0.500
0.250 0.250 0.244
0.250 0.250 0.756
0.250 0.750 0.244
0.250 0.750 0.756
0.500 0.500 0.500
0.750 0.250 0.244
0.750 0.250 0.756
0.750 0.750 0.244
0.750 0.750 0.756
```

***

No. 6
For Mg2Ag3Au, a DFT-relaxed cell (GGA-PBE, Alexandria) gives the computed PXRD pattern in this record (copper Kα).
Intensities are scaled so that the largest is 100.

Peak list (6 most intense, 2θ from 10° to 90°, low angle first)
d (Å)	2theta	Rel. int.
4.113	21.61	56
2.929	30.52	63
2.388	37.66	53
2.373	37.92	34
2.348	38.33	100
1.839	49.56	33

```
Mg2Ag3Au
1.0
3.809 -4.046 0.000
3.809 4.046 0.000
-1.510 0.000 7.346
Mg Ag Au
4 6 2
direct
0.120 0.631 0.876
0.369 0.880 0.624
0.631 0.120 0.376
0.880 0.369 0.124
0.169 0.333 0.499
0.333 0.169 0.999
0.422 0.578 0.250
0.578 0.422 0.750
0.667 0.831 0.001
0.831 0.667 0.501
0.084 0.916 0.250
0.916 0.084 0.750
```

***

No. 7
For Mg2AgAu9, a DFT-relaxed cell (GGA-PBE, Alexandria) gives the computed PXRD pattern in this record (copper Kα).
Intensities are scaled so that the largest is 100.

Peak list (6 most intense, 2θ from 10° to 90°, low angle first)
d (Å)	2theta	Rel. int.
2.395	37.55	100
2.094	43.21	34
2.037	44.47	16
1.460	63.74	21
1.259	75.48	27
1.235	77.29	12

```
Mg2AgAu9
1.0
4.188 0.000 0.000
0.000 4.188 0.000
0.000 0.000 12.224
Mg Ag Au
2 1 9
direct
0.000 0.000 0.168
0.000 0.000 0.832
0.000 0.000 0.500
0.000 0.500 0.000
0.000 0.500 0.331
0.000 0.500 0.669
0.500 0.000 0.000
0.500 0.000 0.331
0.500 0.000 0.669
0.500 0.500 0.166
0.500 0.500 0.500
0.500 0.500 0.834
```

***

No. 8
For Mg2AgAu5, a DFT-relaxed cell (GGA-PBE, Alexandria) gives the computed PXRD pattern in this record (copper Kα).
Intensities are scaled so that the largest is 100.

Peak list (6 most intense, 2θ from 10° to 90°, low angle first)
d (Å)	2theta	Rel. int.
4.134	21.49	18
2.937	30.43	15
2.394	37.56	100
2.087	43.35	17
2.067	43.80	32
1.469	63.32	22

```
Mg2AgAu5
1.0
5.839 0.000 0.000
0.000 11.708 0.000
0.000 0.000 4.174
Mg Ag Au
4 2 10
direct
0.238 0.128 0.000
0.262 0.628 0.000
0.738 0.372 0.000
0.762 0.872 0.000
0.000 0.500 0.500
0.500 0.000 0.500
0.000 0.000 0.500
0.010 0.749 0.500
0.239 0.378 0.000
0.261 0.878 0.000
0.490 0.249 0.500
0.500 0.500 0.500
0.510 0.751 0.500
0.739 0.122 0.000
0.761 0.622 0.000
0.990 0.251 0.500
```

***

No. 9
For Mg6Ag12Au, a DFT-relaxed cell (GGA-PBE, Alexandria) gives the computed PXRD pattern in this record (copper Kα).
Intensities are scaled so that the largest is 100.

Peak list (6 most intense, 2θ from 10° to 90°, low angle first)
d (Å)	2theta	Rel. int.
3.544	25.13	22
3.173	28.12	55
2.364	38.06	100
2.356	38.20	51
2.241	40.24	95
2.138	42.27	22

```
Mg6Ag12Au
1.0
5.019 2.898 4.079
-5.019 2.898 4.079
0.000 -5.796 4.079
Mg Ag Au
6 12 1
direct
0.222 0.769 0.384
0.231 0.616 0.778
0.384 0.222 0.769
0.616 0.778 0.231
0.769 0.384 0.222
0.778 0.231 0.616
0.029 0.298 0.939
0.061 0.971 0.702
0.127 0.342 0.465
0.298 0.939 0.029
0.342 0.465 0.127
0.465 0.127 0.342
0.535 0.873 0.658
0.658 0.535 0.873
0.702 0.061 0.971
0.873 0.658 0.535
0.939 0.029 0.298
0.971 0.702 0.061
0.500 0.500 0.500
```

***

No. 10
For MgAgAu2, a DFT-relaxed cell (GGA-PBE, Alexandria) gives the computed PXRD pattern in this record (copper Kα).
Intensities are scaled so that the largest is 100.

Peak list (6 most intense, 2θ from 10° to 90°, low angle first)
d (Å)	2theta	Rel. int.
3.704	24.02	34
3.192	27.95	24
2.418	37.18	100
2.350	38.30	92
2.210	40.83	38
2.193	41.17	37

```
MgAgAu2
1.0
3.192 0.000 0.000
0.000 3.704 0.000
-0.048 0.000 6.080
Mg Ag Au
1 1 2
direct
0.000 0.000 0.000
0.000 0.000 0.500
0.499 0.500 0.758
0.501 0.500 0.242
```

***

No. 11
For MgAg5Au8, a DFT-relaxed cell (GGA-PBE, Alexandria) gives the computed PXRD pattern in this record (copper Kα).
Intensities are scaled so that the largest is 100.

Peak list (6 most intense, 2θ from 10° to 90°, low angle first)
d (Å)	2theta	Rel. int.
3.333	26.74	69
2.597	34.54	90
2.588	34.66	53
2.520	35.62	68
2.173	41.55	67
2.148	42.07	100

```
MgAg5Au8
1.0
-4.106 4.106 3.972
4.106 -4.106 3.972
4.106 4.106 -3.972
Mg Ag Au
1 5 8
direct
0.000 0.000 0.000
0.219 0.514 0.916
0.250 0.750 0.500
0.486 0.402 0.705
0.598 0.303 0.084
0.697 0.781 0.295
0.121 0.053 0.694
0.360 0.428 0.306
0.418 0.020 0.276
0.572 0.879 0.932
0.744 0.143 0.724
0.857 0.582 0.602
0.947 0.640 0.068
0.980 0.256 0.398
```

***

No. 12
For MgAg2Au8, a DFT-relaxed cell (GGA-PBE, Alexandria) gives the computed PXRD pattern in this record (copper Kα).
Intensities are scaled so that the largest is 100.

Peak list (6 most intense, 2θ from 10° to 90°, low angle first)
d (Å)	2theta	Rel. int.
2.398	37.51	100
2.091	43.28	17
2.074	43.64	17
2.065	43.85	16
1.470	63.27	16
1.258	75.56	13

```
MgAg2Au8
1.0
7.490 -2.065 0.000
7.490 2.065 0.000
-1.771 0.000 6.368
Mg Ag Au
1 2 8
direct
0.000 0.000 0.000
0.275 0.275 0.368
0.725 0.725 0.632
0.090 0.090 0.446
0.181 0.181 0.911
0.365 0.365 0.822
0.454 0.454 0.270
0.546 0.546 0.730
0.635 0.635 0.178
0.819 0.819 0.089
0.910 0.910 0.554
```

***

No. 13
For Mg10Ag3Au3, a DFT-relaxed cell (GGA-PBE, Alexandria) gives the computed PXRD pattern in this record (copper Kα).
Intensities are scaled so that the largest is 100.

Peak list (6 most intense, 2θ from 10° to 90°, low angle first)
d (Å)	2theta	Rel. int.
4.023	22.10	39
3.281	27.18	100
2.835	31.55	31
2.389	37.66	58
2.320	38.82	69
1.829	49.85	40

```
Mg10Ag3Au3
1.0
8.046 0.000 0.000
-4.023 6.968 0.000
0.000 0.000 5.671
Mg Ag Au
10 3 3
direct
0.000 0.250 0.000
0.000 0.756 0.500
0.244 0.244 0.500
0.250 0.000 0.000
0.333 0.667 0.247
0.333 0.667 0.753
0.667 0.333 0.247
0.667 0.333 0.753
0.750 0.750 0.000
0.756 0.000 0.500
0.000 0.397 0.500
0.397 0.000 0.500
0.603 0.603 0.500
0.000 0.609 0.000
0.391 0.391 0.000
0.609 0.000 0.000
```